No. 1
Theoretical powder diffractogram
Compound: ZnW2O4
Radiation: λ = 1.5418 Å (Cu Kα)
Structure: a cell relaxed with PBE+U
No peak broadening, texture or thermal motion is included.

Principal peaks in the range 15° ≤ 2θ ≤ 90°, by intensity:
(hkl)	two_theta	I (rel.)
3 1 1	32.80	1000
1 1 1	16.96	565
2 2 2	34.30	487
4 4 0	57.57	450
5 1 1	52.50	371
4 0 0	39.81	350
6 2 2	68.76	227
5 5 3	81.67	216
3 3 1	43.56	134
5 3 1	60.48	123
5 3 3	67.86	123
2 2 0	27.86	76

Structure:
Cell lengths 9.0563, 9.0563, 9.0563 Å; angles 90.00, 90.00, 90.00 degrees
Space group Fd-3m (No. 227, origin choice 2)
Symmetry-distinct sites (fractional):
Zn  0.1250  0.1250  0.1250 (multiplicity 8)
W  0.0000  0.0000  0.5000 (multiplicity 16)
O  0.0072  0.0072  0.7428 (multiplicity 32)


No. 2
Theoretical powder diffractogram
Compound: ZnW2O4
Radiation: λ = 1.5418 Å (Cu Kα)
Structure: a cell relaxed with PBE+U
No peak broadening, texture or thermal motion is included.

Principal peaks in the range 15° ≤ 2θ ≤ 90°, by intensity:
(hkl)	two_theta	I (rel.)
1 1 2	33.15	1000
0 1 -2	27.73	591
0 2 2	31.36	532
1 -1 0	32.06	412
1 2 0	33.98	388
0 2 1	25.23	336
0 0 3	35.44	290
0 2 -1	28.05	288
0 1 -1	17.74	252
0 3 0	36.22	236
1 0 -1	31.96	207
-1 3 1	51.27	202

Structure:
```
data_ZnW2O4
_chemical_formula_sum 'Zn2 W4 O8'
_symmetry_space_group_name_H-M 'P -1'
_symmetry_Int_Tables_number 2
_symmetry_space_group_name_Hall '-P 1'
_cell_length_a 3.2994
_cell_length_b 7.6286
_cell_length_c 7.7943
_cell_angle_alpha 80.83
_cell_angle_beta 79.57
_cell_angle_gamma 79.71
loop_
_atom_site_label
_atom_site_type_symbol
_atom_site_fract_x
_atom_site_fract_y
_atom_site_fract_z
Zn1 Zn 0.2010 0.0745 0.1012
W1 W 0.1496 0.1829 0.5359
W2 W 0.3506 0.4987 0.8113
O1 O 0.0772 0.6404 0.2641
O2 O 0.2497 0.3605 0.0748
O3 O 0.3227 0.9868 0.3470
O4 O 0.3461 0.6801 0.5998
```


No. 3
Theoretical powder diffractogram
Compound: ZnW2O4
Radiation: λ = 1.5418 Å (Cu Kα)
Structure: a cell relaxed with PBE+U
No peak broadening, texture or thermal motion is included.

Principal peaks in the range 15° ≤ 2θ ≤ 90°, by intensity:
(hkl)	two_theta	I (rel.)
0 2 3	30.88	1000
1 1 0	29.19	312
1 1 2	33.97	298
0 0 2	16.92	286
1 1 3	39.13	279
0 4 0	34.68	279
1 3 0	38.35	266
1 3 2	42.19	183
1 3 3	46.62	176
1 5 3	59.39	169
0 6 3	59.80	161
0 2 1	19.13	155

Structure:
```
data_ZnW2O4
_chemical_formula_sum 'Zn4 W8 O16'
_symmetry_space_group_name_H-M 'P b c m'
_symmetry_Int_Tables_number 57
_symmetry_space_group_name_Hall '-P 2c 2b'
_cell_length_a 3.2028
_cell_length_b 10.3473
_cell_length_c 10.4822
_cell_angle_alpha 90.00
_cell_angle_beta 90.00
_cell_angle_gamma 90.00
loop_
_atom_site_label
_atom_site_type_symbol
_atom_site_fract_x
_atom_site_fract_y
_atom_site_fract_z
Zn1 Zn 0.0341 0.1450 0.2500
W1 W 0.3015 0.6186 0.5737
O1 O 0.1930 0.2500 0.0000
O2 O 0.1976 0.5180 0.1110
O3 O 0.4374 0.7275 0.7500
```


No. 4
Theoretical powder diffractogram
Compound: ZnW2O4
Radiation: λ = 1.5418 Å (Cu Kα)
Structure: a cell relaxed with PBE+U
No peak broadening, texture or thermal motion is included.

Principal peaks in the range 15° ≤ 2θ ≤ 90°, by intensity:
(hkl)	two_theta	I (rel.)
1 1 2	33.09	1000
0 1 -2	27.41	654
0 2 2	31.45	627
1 -1 0	32.23	501
0 2 1	25.40	486
0 2 -1	27.98	440
0 0 3	35.03	435
1 2 0	33.96	420
-1 3 1	51.64	347
1 -1 1	33.32	344
0 1 -1	17.61	321
1 -1 3	46.06	313

Structure:
```
data_ZnW2O4
_chemical_formula_sum 'Zn2 W4 O8'
_symmetry_space_group_name_H-M 'P 1'
_symmetry_Int_Tables_number 1
_symmetry_space_group_name_Hall 'P 1'
_cell_length_a 3.2918
_cell_length_b 7.5916
_cell_length_c 7.8644
_cell_angle_alpha 81.41
_cell_angle_beta 79.83
_cell_angle_gamma 79.44
loop_
_atom_site_label
_atom_site_type_symbol
_atom_site_fract_x
_atom_site_fract_y
_atom_site_fract_z
Zn1 Zn 0.0000 0.0000 0.0000
Zn2 Zn 0.3745 0.1187 0.2162
W1 W 0.0435 0.8771 0.5770
W2 W 0.3451 0.2494 0.6384
W3 W 0.5412 0.5615 0.9222
W4 W 0.8521 0.5648 0.2929
O1 O 0.1223 0.4225 0.8412
O2 O 0.2685 0.7048 0.3738
O3 O 0.4545 0.4240 0.1799
O4 O 0.5158 0.0454 0.4555
O5 O 0.5395 0.7451 0.7139
O6 O 0.8493 0.3816 0.5012
O7 O 0.8726 0.0812 0.7595
O8 O 0.9384 0.7045 0.0345
```


No. 5
Theoretical powder diffractogram
Compound: ZnW5O7
Radiation: λ = 1.5418 Å (Cu Kα)
Structure: a cell relaxed with PBE+U
No peak broadening, texture or thermal motion is included.

Principal peaks in the range 15° ≤ 2θ ≤ 90°, by intensity:
(hkl)	two_theta	I (rel.)
0 2 6	31.97	1000
1 1 4	33.98	522
1 3 2	37.82	431
1 1 3	31.65	405
0 4 0	32.23	311
2 2 6	66.11	288
1 3 3	39.27	277
1 1 9	51.32	201
1 3 10	60.78	194
1 3 1	36.93	193
1 5 4	53.26	187
1 5 5	55.26	176

Structure:
```
data_ZnW5O7
_chemical_formula_sum 'Zn4 W20 O28'
_symmetry_space_group_name_H-M 'C m c m'
_symmetry_Int_Tables_number 63
_symmetry_space_group_name_Hall '-C 2c 2'
_cell_length_a 3.2750
_cell_length_b 11.1103
_cell_length_c 19.4451
_cell_angle_alpha 90.00
_cell_angle_beta 90.00
_cell_angle_gamma 90.00
loop_
_atom_site_label
_atom_site_type_symbol
_atom_site_fract_x
_atom_site_fract_y
_atom_site_fract_z
Zn1 Zn 0.0000 0.1638 0.2500
W1 W 0.0000 0.0000 0.0000
W2 W 0.0000 0.2700 0.5820
W3 W 0.0000 0.4736 0.1517
O1 O 0.0000 0.1271 0.1400
O2 O 0.0000 0.1452 0.6644
O3 O 0.0000 0.3391 0.0379
O4 O 0.0000 0.4461 0.7500
```


No. 6
Theoretical powder diffractogram
Compound: ZnWO4
Radiation: λ = 1.5418 Å (Cu Kα)
Structure: a cell relaxed with PBE+U
No peak broadening, texture or thermal motion is included.

Principal peaks in the range 15° ≤ 2θ ≤ 90°, by intensity:
(hkl)	two_theta	I (rel.)
2 2 1	32.77	1000
4 4 0	58.20	293
0 2 1	23.08	290
0 0 2	33.22	266
0 4 2	47.18	249
0 4 0	32.53	244
2 2 3	59.07	218
2 0 0	22.94	182
4 0 0	46.88	154
4 0 2	58.66	130
4 4 2	68.70	128
6 2 1	77.99	109

Structure:
```
data_ZnWO4
_chemical_formula_sum 'Zn8 W8 O32'
_symmetry_space_group_name_H-M 'C m c e'
_symmetry_Int_Tables_number 64
_symmetry_space_group_name_Hall '-C 2ac 2'
_cell_length_a 7.7522
_cell_length_b 11.0106
_cell_length_c 5.3944
_cell_angle_alpha 90.00
_cell_angle_beta 90.00
_cell_angle_gamma 90.00
loop_
_atom_site_label
_atom_site_type_symbol
_atom_site_fract_x
_atom_site_fract_y
_atom_site_fract_z
Zn1 Zn 0.2500 0.1401 0.2500
W1 W 0.0000 0.1083 0.7345
O1 O 0.0000 0.0798 0.1168
O2 O 0.0000 0.2207 0.4645
O3 O 0.1517 0.0000 0.5000
O4 O 0.2500 0.1704 0.7500
```